This entry pairs a crystal structure of TbAl3Au3 with its computed powder diffractogram. Radiation: Cu Kα, 1.54184 Å. Structure: DFT lattice parameters and positions (PBE).

Atomic structure:
```
TbAl3Au3
1.0
7.3822 0.0000 0.0000
0.0000 4.4854 0.0000
-2.7961 0.0000 8.4724
Tb Al Au
2 6 6
Direct
0.2073 0.2500 0.2801
0.7927 0.7500 0.7199
0.1199 0.2500 0.9058
0.2220 0.7500 0.7450
0.4608 0.2500 0.7140
0.5392 0.7500 0.2860
0.7780 0.2500 0.2550
0.8801 0.7500 0.0942
0.0307 0.2500 0.6058
0.2290 0.7500 0.0443
0.3923 0.7500 0.5410
0.6077 0.2500 0.4590
0.7710 0.2500 0.9557
0.9693 0.7500 0.3942
```

Largest 8 diffraction maxima, most intense first, 10 to 90 degrees two-theta:
- 2θ = 28.9°, rel. 100
- 2θ = 36.6°, rel. 67
- 2θ = 40.2°, rel. 43
- 2θ = 10.4°, rel. 42
- 2θ = 36.4°, rel. 31
- 2θ = 37.7°, rel. 25
- 2θ = 30.5°, rel. 24
- 2θ = 41.9°, rel. 22